Structure and theoretical powder diffraction line list of Pa2Co3Ni4 (a cell relaxed with PBE; Cu Kα, 1.54184 Å).

Structural model:
Lattice parameters (Å, degrees): 7.522 6.680 4.833 79.83 60.94 39.23
Element x y z (fractional)
Pa1 0.132 0.132 0.868
Pa2 0.868 0.868 0.132
Co1 0.000 0.000 0.500
Co2 0.500 0.500 0.000
Co3 0.500 0.500 0.500
Ni1 0.166 0.490 0.510
Ni2 0.490 0.166 0.834
Ni3 0.510 0.834 0.166
Ni4 0.834 0.510 0.490

Peak list (8 most intense, 10° ≤ 2θ ≤ 80°, low angle first)
2θ (°)	d/Å	intensity
22.57	3.939	36.1
30.42	2.938	44.8
35.85	2.505	39.7
37.68	2.387	34.2
37.93	2.372	42.6
42.26	2.139	36.8
43.31	2.089	100.0
43.57	2.077	45.6

Structure and theoretical powder diffraction line list of Pa3Co7Ni2 (a cell relaxed with PBE; Cu Kα, 1.54184 Å).

Structural model:
Lattice parameters (Å, degrees): 12.115 12.115 12.115 161.68 161.68 26.02
Element x y z (fractional)
Pa1 0.000 0.000 0.000
Pa2 0.166 0.166 0.000
Pa3 0.834 0.834 0.000
Co1 0.079 0.579 0.500
Co2 0.258 0.258 0.000
Co3 0.421 0.921 0.500
Co4 0.500 0.500 0.000
Co5 0.579 0.079 0.500
Co6 0.742 0.742 0.000
Co7 0.921 0.421 0.500
Ni1 0.360 0.360 0.000
Ni2 0.640 0.640 0.000

Peak list (8 most intense, 10° ≤ 2θ ≤ 80°, low angle first)
2θ (°)	d/Å	intensity
22.60	3.935	23.9
23.37	3.806	40.3
29.91	2.987	38.0
32.84	2.727	54.7
40.24	2.241	100.0
47.13	1.928	55.4
48.54	1.875	21.7
68.08	1.377	24.7